The following is a computed powder XRD pattern of PW4Cl11. It was derived from a DFT-relaxed cell (GGA-PBE, Alexandria), using Cu Ka.

Most intense lines, 10 to 80 degrees two-theta, by angle:
2θ = 12.07°, intensity 100
2θ = 13.15°, intensity 80
2θ = 21.64°, intensity 10
2θ = 25.52°, intensity 11
2θ = 28.41°, intensity 10
2θ = 30.89°, intensity 11
2θ = 33.37°, intensity 16
2θ = 36.07°, intensity 11
2θ = 37.87°, intensity 10
2θ = 39.74°, intensity 13
2θ = 40.19°, intensity 7
2θ = 49.71°, intensity 12

Cell and atoms:
```
32
Lattice="5.0229 -7.3322 0.0000 5.0229 7.3322 0.0000 0.0000 0.0000 11.5403" Properties=species:S:1:pos:R:3 pbc="T T T"
P 5.0229 4.7250 8.6552
P 5.0229 -4.7250 2.8851
W 3.7153 3.3100 7.2449
W 3.7153 3.3100 10.0655
W 6.3306 3.3100 7.2449
W 6.3306 3.3100 10.0655
W 3.7153 -3.3100 1.4748
W 3.7153 -3.3100 4.2953
W 6.3306 -3.3100 1.4748
W 6.3306 -3.3100 4.2953
Cl 1.7148 2.2715 5.9367
Cl 1.7148 2.2715 11.3737
Cl 5.0229 6.7661 8.6552
Cl 3.0945 2.9898 2.8851
Cl 3.4420 1.3617 8.6552
Cl 1.7148 -2.2715 0.1665
Cl 1.7148 -2.2715 5.6036
Cl 5.0229 1.9423 0.0344
Cl 5.0229 1.9423 5.7357
Cl 3.4420 -1.3617 2.8851
Cl 6.9514 2.9898 2.8851
Cl 3.0945 -2.9898 8.6552
Cl 6.6039 1.3617 8.6552
Cl 5.0229 -1.9423 5.8045
Cl 5.0229 -1.9423 11.5059
Cl 8.3311 2.2715 5.9367
Cl 8.3311 2.2715 11.3737
Cl 6.6039 -1.3617 2.8851
Cl 6.9514 -2.9898 8.6552
Cl 5.0229 -6.7661 2.8851
Cl 8.3311 -2.2715 0.1665
Cl 8.3311 -2.2715 5.6036
```

---

The following is a computed powder XRD pattern of Sr2ZrSnO6. It was derived from a DFT-relaxed cell (GGA-PBE, Alexandria), using Cu Ka.

Most intense lines, 10 to 80 degrees two-theta, by angle:
2θ = 21.54°, intensity 7
2θ = 30.52°, intensity 25
2θ = 30.65°, intensity 100
2θ = 30.74°, intensity 24
2θ = 43.89°, intensity 45
2θ = 54.32°, intensity 19
2θ = 54.43°, intensity 11
2θ = 54.59°, intensity 34
2θ = 63.82°, intensity 17
2θ = 64.03°, intensity 4
2θ = 72.44°, intensity 12
2θ = 72.55°, intensity 8

Cell and atoms:
```
20
Lattice="5.8163 0.0000 0.0000 0.0000 5.8585 0.0000 -5.8088 0.0000 8.2451" Properties=species:S:1:pos:R:3 pbc="T T T"
Sr -0.0367 0.1734 2.0576
Sr -2.9411 2.7559 6.1801
Sr 2.9486 3.1027 2.0650
Sr 0.0442 5.6851 6.1875
Zr 2.9082 0.0000 0.0000
Zr 0.0038 2.9293 4.1226
Sn -2.9044 0.0000 4.1226
Sn 0.0000 2.9293 0.0000
O -4.5644 1.2734 7.9380
O -1.6600 1.6559 3.8154
O -4.1655 4.1889 7.9332
O -1.2611 4.5989 3.8107
O -2.4882 0.0997 6.1717
O 0.4162 2.8296 2.0491
O -0.4086 3.0289 6.1960
O 2.4958 5.7589 2.0734
O 1.2686 1.2596 4.4344
O 4.1730 1.6697 0.3119
O 1.6676 4.2026 4.4297
O 4.5720 4.5851 0.3071
```

---

The following is a computed powder XRD pattern of Te6IrBr3. It was derived from a DFT-relaxed cell (GGA-PBE, Alexandria), using Cu Ka.

Most intense lines, 10 to 80 degrees two-theta, by angle:
2θ = 11.43°, intensity 89
2θ = 22.16°, intensity 10
2θ = 29.94°, intensity 100
2θ = 30.41°, intensity 9
2θ = 38.08°, intensity 24
2θ = 43.59°, intensity 35
2θ = 46.97°, intensity 28
2θ = 49.85°, intensity 12
2θ = 51.07°, intensity 12
2θ = 61.99°, intensity 10
2θ = 71.89°, intensity 8
2θ = 75.19°, intensity 12

Cell and atoms:
```
20
Lattice="7.7387 4.4680 3.3376 -7.7387 4.4680 3.3376 0.0000 -8.9359 3.3376" Properties=species:S:1:pos:R:3 pbc="T T T"
Te -5.8962 -3.2541 5.7145
Te -0.1299 -6.7333 4.2983
Te -5.7663 3.4792 4.2983
Te -0.1299 -2.2026 4.0457
Te -1.8425 1.2138 4.0457
Te -1.9725 -0.9888 5.9671
Te 1.9725 0.9888 4.0457
Te 1.8425 -1.2138 5.9671
Te 0.1299 2.2026 5.9671
Te 5.7663 -3.4792 5.7145
Te 0.1299 6.7333 5.7145
Te 5.8962 3.2541 4.2983
Ir 0.0000 0.0000 2.5032
Ir 0.0000 0.0000 7.5096
Br -3.7092 -4.4680 4.1720
Br -5.7240 0.9783 5.8408
Br -2.0148 5.4462 4.1720
Br 2.0148 -5.4462 5.8408
Br 5.7240 -0.9783 4.1720
Br 3.7092 4.4680 5.8408
```

---

The following is a computed powder XRD pattern of Be2TlF6. It was derived from a DFT-relaxed cell (GGA-PBE, Alexandria), using Cu Ka.

Most intense lines, 10 to 80 degrees two-theta, by angle:
2θ = 12.88°, intensity 100
2θ = 18.32°, intensity 48
2θ = 19.46°, intensity 81
2θ = 26.46°, intensity 67
2θ = 26.58°, intensity 39
2θ = 26.97°, intensity 81
2θ = 27.24°, intensity 35
2θ = 28.96°, intensity 53
2θ = 29.14°, intensity 25
2θ = 38.12°, intensity 25
2θ = 39.03°, intensity 25
2θ = 39.32°, intensity 24

Cell and atoms:
```
18
Lattice="5.4149 -4.8792 0.0000 5.4149 4.8792 0.0000 -2.3111 0.0000 4.6160" Properties=species:S:1:pos:R:3 pbc="T T T"
Be 1.8765 0.7001 0.6119
Be 0.7209 -0.7001 2.9199
Be 7.7978 0.7001 1.6961
Be 6.6423 -0.7001 4.0041
Tl 3.6816 1.5160 3.4620
Tl 4.8372 -1.5160 1.1540
F 1.7118 2.7214 3.9055
F -0.2861 0.2171 3.7389
F 0.8694 -0.2171 1.4309
F 3.3033 0.5473 1.3108
F 5.6515 2.7214 3.0185
F 2.1477 -0.5473 3.6188
F 6.3711 0.5473 0.9972
F 2.8673 -2.7214 1.5975
F 5.2155 -0.5473 3.3052
F 7.6494 0.2171 3.1851
F 8.8049 -0.2171 0.8771
F 6.8070 -2.7214 0.7105
```

---

The following is a computed powder XRD pattern of LaPmAl2Pt. It was derived from a DFT-relaxed cell (GGA-PBE, Alexandria), using Cu Ka.

Most intense lines, 10 to 80 degrees two-theta, by angle:
2θ = 14.31°, intensity 33
2θ = 20.43°, intensity 38
2θ = 28.95°, intensity 16
2θ = 30.00°, intensity 34
2θ = 31.82°, intensity 100
2θ = 38.80°, intensity 24
2θ = 40.83°, intensity 21
2θ = 41.32°, intensity 18
2θ = 41.98°, intensity 19
2θ = 42.10°, intensity 21
2θ = 49.80°, intensity 17
2θ = 58.53°, intensity 30

Cell and atoms:
```
5
Lattice="-2.1523 2.3210 6.1906 2.1523 -2.3210 6.1906 2.1523 2.3210 -6.1906" Properties=species:S:1:pos:R:3 pbc="T T T"
La 0.0000 0.0000 0.0000
Pm 2.1523 0.0000 3.2738
Al 0.0000 0.0000 7.5807
Al 0.0000 2.3210 3.3532
Pt 0.0000 0.0000 5.0961
```

---

The following is a computed powder XRD pattern of Cs3Rb8P. It was derived from a DFT-relaxed cell (GGA-PBE, Alexandria), using Cu Ka.

Most intense lines, 10 to 80 degrees two-theta, by angle:
2θ = 15.97°, intensity 26
2θ = 19.75°, intensity 52
2θ = 21.92°, intensity 52
2θ = 22.11°, intensity 100
2θ = 23.20°, intensity 47
2θ = 25.74°, intensity 35
2θ = 32.00°, intensity 19
2θ = 34.92°, intensity 16
2θ = 35.10°, intensity 14
2θ = 36.89°, intensity 16
2θ = 42.87°, intensity 17
2θ = 43.42°, intensity 17

Cell and atoms:
```
24
Lattice="15.3384 0.0000 0.0000 -7.6692 13.2834 0.0000 0.0000 0.0000 10.1043" Properties=species:S:1:pos:R:3 pbc="T T T"
Cs 0.0000 4.0562 0.0000
Cs -4.1564 11.2553 0.0000
Cs 3.5128 2.0281 5.0522
Cs 4.1564 11.2553 0.0000
Cs 11.8256 2.0281 5.0522
Cs 7.6692 9.2272 5.0522
Rb 0.0000 0.0000 2.5198
Rb 0.0000 0.0000 7.5719
Rb -2.9453 7.1552 2.5650
Rb 0.0000 6.2197 5.4636
Rb -2.2828 10.1736 5.4636
Rb 0.0000 8.8556 10.0162
Rb 2.9453 7.1552 2.5650
Rb 0.0000 12.2565 2.5650
Rb 5.3864 3.1099 0.4115
Rb 2.2828 10.1736 5.4636
Rb 7.6692 1.0269 7.6171
Rb 4.7239 6.1283 7.6171
Rb 7.6692 4.4278 4.9640
Rb 9.9520 3.1099 0.4115
Rb 7.6692 7.0637 0.4115
Rb 10.6145 6.1283 7.6171
P 0.0000 8.8556 3.2942
P 7.6692 4.4278 8.3463
```

---

The following is a computed powder XRD pattern of Cs2PaAsS6. It was derived from a DFT-relaxed cell (GGA-PBE, Alexandria), using Cu Ka.

Most intense lines, 10 to 80 degrees two-theta, by angle:
2θ = 13.41°, intensity 78
2θ = 19.52°, intensity 67
2θ = 23.33°, intensity 100
2θ = 30.60°, intensity 76
2θ = 31.59°, intensity 53
2θ = 38.84°, intensity 22
2θ = 39.64°, intensity 57
2θ = 41.01°, intensity 22
2θ = 46.51°, intensity 50
2θ = 47.71°, intensity 32
2θ = 58.35°, intensity 21
2θ = 63.71°, intensity 13

Cell and atoms:
```
10
Lattice="7.6246 0.0000 0.0000 -3.8123 6.6031 0.0000 0.0000 0.0000 6.2706" Properties=species:S:1:pos:R:3 pbc="T T T"
Cs 0.0000 4.4020 1.3965
Cs 3.8123 2.2010 4.8741
Pa 0.0000 0.0000 3.1353
As 0.0000 0.0000 0.0000
S 0.0000 1.9933 4.8782
S -2.0860 5.6064 4.8782
S 1.7263 0.9967 1.3924
S 2.0860 5.6064 4.8782
S 5.8983 0.9967 1.3924
S 3.8123 4.6097 1.3924
```

---

The following is a computed powder XRD pattern of KMgCrCl6. It was derived from a DFT-relaxed cell (GGA-PBE, Alexandria), using Cu Ka.

Most intense lines, 10 to 80 degrees two-theta, by angle:
2θ = 12.61°, intensity 71
2θ = 17.25°, intensity 20
2θ = 20.46°, intensity 86
2θ = 30.80°, intensity 100
2θ = 38.13°, intensity 100
2θ = 45.33°, intensity 22
2θ = 48.23°, intensity 22
2θ = 49.52°, intensity 36
2θ = 51.16°, intensity 13
2θ = 60.18°, intensity 17
2θ = 62.02°, intensity 13
2θ = 64.16°, intensity 15

Cell and atoms:
```
18
Lattice="6.3765 0.0000 0.0000 -3.1882 5.5222 0.0000 0.0000 0.0000 14.0434" Properties=species:S:1:pos:R:3 pbc="T T T"
K 0.0000 0.0000 0.0000
K 0.0000 0.0000 7.0217
Mg 0.0000 3.6815 3.5108
Mg 3.1883 1.8407 10.5325
Cr 0.0000 3.6815 10.5325
Cr 3.1883 1.8407 3.5108
Cl -1.0957 2.0889 9.1586
Cl -1.9270 3.5288 11.9064
Cl 1.0957 2.0889 11.9064
Cl -0.8313 5.4267 9.1586
Cl 2.3570 0.0955 2.1370
Cl 1.2612 1.9934 4.8847
Cl 1.9270 3.5288 9.1586
Cl 0.8313 5.4267 11.9064
Cl 4.0195 0.0955 4.8847
Cl 2.0925 3.4333 2.1370
Cl 5.1153 1.9934 2.1370
Cl 4.2840 3.4333 4.8847
```

---

The following is a computed powder XRD pattern of V5NiPt8. It was derived from a DFT-relaxed cell (GGA-PBE, Alexandria), using Cu Ka.

Most intense lines, 10 to 80 degrees two-theta, by angle:
2θ = 28.81°, intensity 100
2θ = 37.23°, intensity 63
2θ = 37.37°, intensity 32
2θ = 38.50°, intensity 54
2θ = 41.46°, intensity 26
2θ = 44.51°, intensity 41
2θ = 44.88°, intensity 61
2θ = 45.49°, intensity 64
2θ = 50.83°, intensity 27
2θ = 59.68°, intensity 22
2θ = 62.05°, intensity 21
2θ = 77.76°, intensity 24

Cell and atoms:
```
14
Lattice="-3.8185 3.8185 3.6844 3.8185 -3.8185 3.6844 3.8185 3.8185 -3.6844" Properties=species:S:1:pos:R:3 pbc="T T T"
V 0.0000 0.0000 0.0000
V 1.3721 -0.7140 3.0244
V 3.1045 2.4463 0.6600
V 2.4463 4.5324 -0.6600
V 0.7140 1.3721 4.3443
Ni 0.0000 3.8185 1.8422
Pt 2.5739 -0.4841 0.6559
Pt 2.8939 2.2920 -1.8993
Pt 5.0631 0.4841 0.6559
Pt 4.3026 -1.2446 3.0284
Pt 0.9246 1.5265 1.7851
Pt 3.3344 1.2446 3.0284
Pt 1.5265 -0.9246 5.5837
Pt 2.2920 4.7430 1.8993
```

---

The following is a computed powder XRD pattern of RbSrPrBr6. It was derived from a DFT-relaxed cell (GGA-PBE, Alexandria), using Cu Ka.

Most intense lines, 10 to 80 degrees two-theta, by angle:
2θ = 12.08°, intensity 24
2θ = 17.76°, intensity 62
2θ = 25.67°, intensity 100
2θ = 28.87°, intensity 14
2θ = 33.40°, intensity 89
2θ = 36.95°, intensity 28
2θ = 39.62°, intensity 47
2θ = 43.61°, intensity 26
2θ = 49.77°, intensity 25
2θ = 52.76°, intensity 19
2θ = 65.43°, intensity 18
2θ = 67.95°, intensity 17

Cell and atoms:
```
18
Lattice="7.8796 0.0000 0.0000 -3.9398 6.8239 0.0000 0.0000 0.0000 14.6508" Properties=species:S:1:pos:R:3 pbc="T T T"
Rb 0.0000 0.0000 0.0000
Rb 0.0000 0.0000 7.3254
Sr 0.0000 4.5493 3.6627
Sr 3.9398 2.2746 10.9881
Pr 0.0000 4.5493 10.9881
Pr 3.9398 2.2746 3.6627
Br -1.3861 2.5795 9.3067
Br -2.3989 4.3337 12.6695
Br 1.3861 2.5795 12.6695
Br -1.0128 6.7346 9.3067
Br 2.9270 0.0894 1.9813
Br 1.5409 2.4902 5.3441
Br 2.3989 4.3337 9.3067
Br 1.0128 6.7346 12.6695
Br 4.9526 0.0894 5.3441
Br 2.5537 4.2444 1.9813
Br 6.3387 2.4902 1.9813
Br 5.3259 4.2444 5.3441
```